# Mn3Zn9P8O32
Calculated X-ray diffraction stick pattern, CuKα. Input: a cell relaxed with GGA+U.
Peak positions follow from Bragg's law for the DFT cell and can differ from measured ones.

Cell and atoms:
a = 5.1001 Å, b = 11.6289 Å, c = 11.6454 Å
α = 96.53°, β = 93.25°, γ = 93.55°
Atoms (fractional coordinates):
Mn 0.0000 0.0000 0.0000
Mn 0.0000 0.5000 0.5000
Mn 0.5000 0.0000 0.5000
Zn 0.0770 0.8764 0.2418
Zn 0.0811 0.3791 0.7413
Zn 0.4229 0.7574 0.6239
Zn 0.4336 0.2583 0.1199
Zn 0.5000 0.5000 0.0000
Zn 0.5664 0.7417 0.8801
Zn 0.5771 0.2426 0.3761
Zn 0.9189 0.6209 0.2587
Zn 0.9230 0.1236 0.7582
P 0.0235 0.6940 0.0054
P 0.0333 0.1982 0.5037
P 0.4645 0.4952 0.2993
P 0.4659 0.9962 0.8024
P 0.5341 0.0038 0.1976
P 0.5355 0.5048 0.7007
P 0.9667 0.8018 0.4963
P 0.9765 0.3060 0.9946
O 0.0415 0.7206 0.1405
O 0.0439 0.2227 0.6390
O 0.0689 0.6936 0.5500
O 0.0767 0.1975 0.0484
O 0.1635 0.9046 0.5401
O 0.1774 0.4083 0.0359
O 0.1843 0.5293 0.3279
O 0.1848 0.0312 0.8289
O 0.3017 0.6658 0.9675
O 0.3147 0.1721 0.4689
O 0.3359 0.4607 0.5991
O 0.3367 0.9594 0.0955
O 0.4312 0.9506 0.3060
O 0.4353 0.4507 0.8091
O 0.4533 0.8605 0.7789
O 0.4543 0.3596 0.2755
O 0.5457 0.6404 0.7245
O 0.5467 0.1395 0.2211
O 0.5647 0.5493 0.1909
O 0.5688 0.0494 0.6940
O 0.6633 0.0406 0.9045
O 0.6641 0.5393 0.4009
O 0.6853 0.8279 0.5311
O 0.6983 0.3342 0.0325
O 0.8152 0.9688 0.1711
O 0.8157 0.4707 0.6721
O 0.8226 0.5917 0.9641
O 0.8365 0.0954 0.4599
O 0.9233 0.8025 0.9516
O 0.9311 0.3064 0.4500
O 0.9561 0.7773 0.3610
O 0.9585 0.2794 0.8595

Top 8 peaks for 15 to 90 degrees two-theta, low angle first:
(-1 1 1), 20.05°, d 4.428, intensity 90
(1 1 1), 21.79°, d 4.079, intensity 38
(0 1 3), 25.26°, d 3.526, intensity 100
(1 -4 0), 34.73°, d 2.583, intensity 42
(2 0 0), 35.34°, d 2.540, intensity 30
(1 -3 3), 35.64°, d 2.519, intensity 25
(1 3 -3), 35.76°, d 2.511, intensity 26
(1 2 4), 42.06°, d 2.149, intensity 25